(1)
Diffraction record for Ac2NdPt. The powder diffractogram is calculated, not measured: it uses a DFT-relaxed cell (PBE, Alexandria) and Cu Ka.

Largest 10 diffraction maxima, by angle, 2θ = 10–80°:
2θ 25.15, I = 189, hkl 0 1 2; 2θ 27.31, I = 300, hkl 0 0 9; 2θ 28.81, I = 1000, hkl 0 1 5; 2θ 34.67, I = 175, hkl 0 1 8; 2θ 39.39, I = 266, hkl 1 0 10; 2θ 42.94, I = 414, hkl 1 1 0; 2θ 47.33, I = 169, hkl 1 0 13; 2θ 52.54, I = 194, hkl 2 0 5; 2θ 70.11, I = 166, hkl 1 2 5; 2θ 73.40, I = 173, hkl 1 1 18

Cell and atoms:
```
data_Ac2NdPt
_cell_length_a 4.2122
_cell_length_b 4.2122
_cell_length_c 29.3652
_cell_angle_alpha 90.00
_cell_angle_beta 90.00
_cell_angle_gamma 120.00
_symmetry_space_group_name_H-M 'R 3 m'
_symmetry_Int_Tables_number 160
_symmetry_space_group_name_Hall 'R 3 -2"'
loop_
_atom_site_label
_atom_site_fract_x
_atom_site_fract_y
_atom_site_fract_z
_atom_site_occupancy
Ac1 0.0000 0.0000 0.0000 1
Ac2 0.0000 0.0000 0.2101 1
Nd1 0.0000 0.0000 0.4383 1
Pt1 0.0000 0.0000 0.6049 1
```

=====

(2)
Diffraction record for AcNdPtSe. The powder diffractogram is calculated, not measured: it uses a DFT-relaxed cell (PBE, Alexandria) and Cu Ka.

Largest 10 diffraction maxima, by angle, 2θ = 10–80°:
2θ 11.77, I = 184, hkl 0 0 3; 2θ 28.89, I = 1000, hkl 1 0 4; 2θ 37.01, I = 68, hkl 1 0 7; 2θ 40.23, I = 387, hkl 0 1 8; 2θ 42.38, I = 366, hkl 1 1 0; 2θ 52.11, I = 197, hkl 0 2 4; 2θ 59.86, I = 122, hkl 2 0 8; 2θ 66.27, I = 160, hkl 1 1 12; 2θ 69.34, I = 169, hkl 2 1 4; 2θ 76.07, I = 122, hkl 1 2 8

Cell and atoms:
```
data_AcNdPtSe
_cell_length_a 4.2652
_cell_length_b 4.2652
_cell_length_c 22.5647
_cell_angle_alpha 90.00
_cell_angle_beta 90.00
_cell_angle_gamma 120.00
_symmetry_space_group_name_H-M 'R 3 m'
_symmetry_Int_Tables_number 160
_symmetry_space_group_name_Hall 'R 3 -2"'
loop_
_atom_site_label
_atom_site_fract_x
_atom_site_fract_y
_atom_site_fract_z
_atom_site_occupancy
Ac1 0.0000 0.0000 0.0000 1
Nd1 0.0000 0.0000 0.4855 1
Pt1 0.0000 0.0000 0.7463 1
Se1 0.0000 0.0000 0.2372 1
```

=====

(3)
Diffraction record for AcNd14Pu. The powder diffractogram is calculated, not measured: it uses a DFT-relaxed cell (PBE, Alexandria) and Cu Ka.

Largest 10 diffraction maxima, by angle, 2θ = 10–80°:
2θ 27.71, I = 237, hkl 0 2 2; 2θ 29.98, I = 254, hkl 4 0 0; 2θ 31.59, I = 1000, hkl 2 0 4; 2θ 41.28, I = 163, hkl 4 2 2; 2θ 49.01, I = 196, hkl 0 4 0; 2θ 54.25, I = 217, hkl 6 0 4; 2θ 58.53, I = 231, hkl 4 4 0; 2θ 59.49, I = 165, hkl 2 4 4; 2θ 65.96, I = 41, hkl 4 0 8; 2θ 76.10, I = 80, hkl 6 4 4

Cell and atoms:
```
data_AcNd14Pu
_cell_length_a 11.9227
_cell_length_b 7.4322
_cell_length_c 12.8803
_cell_angle_alpha 90.00
_cell_angle_beta 90.00
_cell_angle_gamma 90.00
_symmetry_space_group_name_H-M 'A m m 2'
_symmetry_Int_Tables_number 38
loop_
_symmetry_equiv_pos_as_xyz
'x,y,z'
'-x,-y,z'
'-x,y,z'
'x,-y,z'
'x,y+1/2,z+1/2'
'-x,-y+1/2,z+1/2'
'-x,y+1/2,z+1/2'
'x,-y+1/2,z+1/2'
loop_
_atom_site_label
_atom_site_fract_x
_atom_site_fract_y
_atom_site_fract_z
_atom_site_occupancy
Ac1 0.0000 0.0000 0.0000 1
Nd1 0.0000 0.2483 0.2495 1
Nd2 0.2454 0.0000 0.6622 1
Nd3 0.2494 0.2464 0.4145 1
Nd4 0.2544 0.0000 0.1659 1
Nd5 0.5000 0.0000 0.4978 1
Nd6 0.5000 0.0000 0.9978 1
Nd7 0.5000 0.2486 0.7476 1
Pu1 0.0000 0.0000 0.4969 1
```

=====

(4)
Diffraction record for Ac8NdRh6. The powder diffractogram is calculated, not measured: it uses a DFT-relaxed cell (PBE, Alexandria) and Cu Ka.

Largest 10 diffraction maxima, by angle, 2θ = 10–80°:
2θ 25.36, I = 377, hkl 2 -1 3; 2θ 29.74, I = 1000, hkl 1 1 6; 2θ 41.74, I = 404, hkl 3 0 0; 2θ 43.35, I = 380, hkl 2 -1 12; 2θ 50.19, I = 123, hkl 3 0 9; 2θ 52.09, I = 213, hkl 4 -2 6; 2θ 61.75, I = 134, hkl 2 2 12; 2θ 68.86, I = 185, hkl 4 1 6; 2θ 71.18, I = 156, hkl 3 0 18; 2θ 77.32, I = 141, hkl 5 -1 12

Cell and atoms:
```
data_Ac8NdRh6
_cell_length_a 7.4961
_cell_length_b 7.4961
_cell_length_c 30.1543
_cell_angle_alpha 90.00
_cell_angle_beta 90.00
_cell_angle_gamma 120.00
_symmetry_space_group_name_H-M 'R -3'
_symmetry_Int_Tables_number 148
_symmetry_space_group_name_Hall '-R 3'
loop_
_atom_site_label
_atom_site_fract_x
_atom_site_fract_y
_atom_site_fract_z
_atom_site_occupancy
Ac1 0.0000 0.0000 0.1667 1
Ac2 0.9998 0.3330 0.2752 1
Nd1 0.0000 0.0000 0.5000 1
Rh1 0.0000 0.3285 0.4409 1
```

=====

(5)
Diffraction record for AcNd5Rh2. The powder diffractogram is calculated, not measured: it uses a DFT-relaxed cell (PBE, Alexandria) and Cu Ka.

Largest 10 diffraction maxima, by angle, 2θ = 10–80°:
2θ 20.01, I = 222, hkl 0 1 3; 2θ 26.07, I = 342, hkl 0 2 2; 2θ 26.70, I = 919, hkl 1 0 3; 2θ 32.24, I = 437, hkl 0 2 4; 2θ 32.44, I = 1000, hkl 1 2 1; 2θ 32.57, I = 522, hkl 0 0 6; 2θ 42.35, I = 467, hkl 1 2 5; 2θ 43.09, I = 267, hkl 2 0 0; 2θ 50.64, I = 262, hkl 1 2 7; 2θ 55.04, I = 236, hkl 2 0 6

Cell and atoms:
```
data_AcNd5Rh2
_cell_length_a 4.1987
_cell_length_b 7.5110
_cell_length_c 16.4947
_cell_angle_alpha 90.00
_cell_angle_beta 90.00
_cell_angle_gamma 90.00
_symmetry_space_group_name_H-M 'I m m m'
_symmetry_Int_Tables_number 71
_symmetry_space_group_name_Hall '-I 2 2'
loop_
_atom_site_label
_atom_site_fract_x
_atom_site_fract_y
_atom_site_fract_z
_atom_site_occupancy
Ac1 0.0000 0.0000 0.0000 1
Nd1 0.0000 0.2500 0.3390 1
Nd2 0.0000 0.5000 0.0000 1
Rh1 0.0000 0.5000 0.1838 1
```

=====

(6)
Diffraction record for Ac4NdRh4. The powder diffractogram is calculated, not measured: it uses a DFT-relaxed cell (PBE, Alexandria) and Cu Ka.

Largest 10 diffraction maxima, by angle, 2θ = 10–80°:
2θ 25.77, I = 487, hkl 1 1 1; 2θ 29.71, I = 505, hkl 0 2 0; 2θ 29.91, I = 1000, hkl 4 0 -1; 2θ 42.66, I = 768, hkl 4 2 -1; 2θ 42.81, I = 374, hkl 2 0 2; 2θ 50.64, I = 173, hkl 7 1 -3; 2θ 52.97, I = 404, hkl 2 2 2; 2θ 70.05, I = 178, hkl 4 4 -1; 2θ 70.39, I = 211, hkl 8 2 -2; 2θ 78.31, I = 250, hkl 6 2 1

Cell and atoms:
```
data_Ac4NdRh4
_cell_length_a 13.3588
_cell_length_b 6.0149
_cell_length_c 9.4420
_cell_angle_alpha 90.00
_cell_angle_beta 134.96
_cell_angle_gamma 90.00
_symmetry_space_group_name_H-M 'C 1 2/m 1'
_symmetry_Int_Tables_number 12
loop_
_symmetry_equiv_pos_as_xyz
'x,y,z'
'-x,-y,-z'
'-x,y,-z'
'x,-y,z'
'x+1/2,y+1/2,z'
'-x+1/2,-y+1/2,-z'
'-x+1/2,y+1/2,-z'
'x+1/2,-y+1/2,z'
loop_
_atom_site_label
_atom_site_fract_x
_atom_site_fract_y
_atom_site_fract_z
_atom_site_occupancy
Ac1 0.0990 0.0000 0.4032 1
Ac2 0.1955 0.5000 0.7946 1
Nd1 0.0000 0.5000 0.0000 1
Rh1 0.1009 0.5000 0.3890 1
Rh2 0.2118 0.0000 0.8126 1
```

=====

Repeat the first record exactly.
Diffraction record for Ac2NdPt. The powder diffractogram is calculated, not measured: it uses a DFT-relaxed cell (PBE, Alexandria) and Cu Ka.

Largest 10 diffraction maxima, by angle, 2θ = 10–80°:
2θ 25.15, I = 189, hkl 0 1 2; 2θ 27.31, I = 300, hkl 0 0 9; 2θ 28.81, I = 1000, hkl 0 1 5; 2θ 34.67, I = 175, hkl 0 1 8; 2θ 39.39, I = 266, hkl 1 0 10; 2θ 42.94, I = 414, hkl 1 1 0; 2θ 47.33, I = 169, hkl 1 0 13; 2θ 52.54, I = 194, hkl 2 0 5; 2θ 70.11, I = 166, hkl 1 2 5; 2θ 73.40, I = 173, hkl 1 1 18

Cell and atoms:
```
data_Ac2NdPt
_cell_length_a 4.2122
_cell_length_b 4.2122
_cell_length_c 29.3652
_cell_angle_alpha 90.00
_cell_angle_beta 90.00
_cell_angle_gamma 120.00
_symmetry_space_group_name_H-M 'R 3 m'
_symmetry_Int_Tables_number 160
_symmetry_space_group_name_Hall 'R 3 -2"'
loop_
_atom_site_label
_atom_site_fract_x
_atom_site_fract_y
_atom_site_fract_z
_atom_site_occupancy
Ac1 0.0000 0.0000 0.0000 1
Ac2 0.0000 0.0000 0.2101 1
Nd1 0.0000 0.0000 0.4383 1
Pt1 0.0000 0.0000 0.6049 1
```

=====

Please write out number 6 again, unchanged.
Diffraction record for Ac4NdRh4. The powder diffractogram is calculated, not measured: it uses a DFT-relaxed cell (PBE, Alexandria) and Cu Ka.

Largest 10 diffraction maxima, by angle, 2θ = 10–80°:
2θ 25.77, I = 487, hkl 1 1 1; 2θ 29.71, I = 505, hkl 0 2 0; 2θ 29.91, I = 1000, hkl 4 0 -1; 2θ 42.66, I = 768, hkl 4 2 -1; 2θ 42.81, I = 374, hkl 2 0 2; 2θ 50.64, I = 173, hkl 7 1 -3; 2θ 52.97, I = 404, hkl 2 2 2; 2θ 70.05, I = 178, hkl 4 4 -1; 2θ 70.39, I = 211, hkl 8 2 -2; 2θ 78.31, I = 250, hkl 6 2 1

Cell and atoms:
```
data_Ac4NdRh4
_cell_length_a 13.3588
_cell_length_b 6.0149
_cell_length_c 9.4420
_cell_angle_alpha 90.00
_cell_angle_beta 134.96
_cell_angle_gamma 90.00
_symmetry_space_group_name_H-M 'C 1 2/m 1'
_symmetry_Int_Tables_number 12
loop_
_symmetry_equiv_pos_as_xyz
'x,y,z'
'-x,-y,-z'
'-x,y,-z'
'x,-y,z'
'x+1/2,y+1/2,z'
'-x+1/2,-y+1/2,-z'
'-x+1/2,y+1/2,-z'
'x+1/2,-y+1/2,z'
loop_
_atom_site_label
_atom_site_fract_x
_atom_site_fract_y
_atom_site_fract_z
_atom_site_occupancy
Ac1 0.0990 0.0000 0.4032 1
Ac2 0.1955 0.5000 0.7946 1
Nd1 0.0000 0.5000 0.0000 1
Rh1 0.1009 0.5000 0.3890 1
Rh2 0.2118 0.0000 0.8126 1
```